(1)
Calculated X-ray powder pattern
Compound: Ca3Ga6Ni5
Radiation: Cu Kα X-rays
Structure: the GGA-PBE geometry in Alexandria
Kinematic intensities with the Lorentz-polarization factor, no thermal factor.

Most intense lines, 5° ≤ 2θ ≤ 70°, in order of falling intensity:
2θ/deg	I (rel.)
36.55	100
43.94	68
36.72	60
39.60	50
43.75	46
19.47	39
47.31	33
42.52	31
42.95	28
23.65	26

abc: 4.122 12.409 9.119
angles: 90.00 90.00 90.00
Atoms (fractional coordinates):
Ca 0.250 0.054 0.247
Ca 0.250 0.446 0.247
Ca 0.250 0.750 0.267
Ca 0.750 0.250 0.733
Ca 0.750 0.554 0.753
Ca 0.750 0.946 0.753
Ga 0.250 0.067 0.586
Ga 0.250 0.250 0.032
Ga 0.250 0.250 0.423
Ga 0.250 0.433 0.586
Ga 0.250 0.599 0.984
Ga 0.250 0.901 0.984
Ga 0.750 0.099 0.016
Ga 0.750 0.401 0.016
Ga 0.750 0.567 0.414
Ga 0.750 0.750 0.577
Ga 0.750 0.750 0.968
Ga 0.750 0.933 0.414
Ni 0.250 0.090 0.869
Ni 0.250 0.410 0.869
Ni 0.250 0.640 0.548
Ni 0.250 0.750 0.788
Ni 0.250 0.860 0.548
Ni 0.750 0.140 0.452
Ni 0.750 0.250 0.212
Ni 0.750 0.360 0.452
Ni 0.750 0.590 0.131
Ni 0.750 0.910 0.131


(2)
Calculated X-ray powder pattern
Compound: Ca12GaNi6
Radiation: Cu Kα X-rays
Structure: the GGA-PBE geometry in Alexandria
Kinematic intensities with the Lorentz-polarization factor, no thermal factor.

Most intense lines, 5° ≤ 2θ ≤ 70°, in order of falling intensity:
2θ/deg	I (rel.)
33.29	100
45.96	44
17.62	38
30.76	26
37.91	17
53.03	14
65.56	14
35.67	13
54.69	13
56.32	12

abc: 8.720 8.720 8.720
angles: 109.47 109.47 109.47
Atoms (fractional coordinates):
Ca 0.121 0.305 0.816
Ca 0.184 0.488 0.305
Ca 0.184 0.879 0.695
Ca 0.305 0.184 0.488
Ca 0.305 0.816 0.121
Ca 0.488 0.305 0.184
Ca 0.512 0.695 0.816
Ca 0.695 0.184 0.879
Ca 0.695 0.816 0.512
Ca 0.816 0.121 0.305
Ca 0.816 0.512 0.695
Ca 0.879 0.695 0.184
Ga 0.000 0.000 0.000
Ni 0.114 0.500 0.614
Ni 0.386 0.886 0.500
Ni 0.500 0.386 0.886
Ni 0.500 0.614 0.114
Ni 0.614 0.114 0.500
Ni 0.886 0.500 0.386


(3)
Calculated X-ray powder pattern
Compound: Ca3Ga4O9
Radiation: Cu Kα X-rays
Structure: the GGA-PBE geometry in Alexandria
Kinematic intensities with the Lorentz-polarization factor, no thermal factor.

Most intense lines, 5° ≤ 2θ ≤ 70°, in order of falling intensity:
2θ/deg	I (rel.)
31.57	100
31.75	83
16.50	68
29.47	48
48.93	40
33.36	30
34.74	23
26.74	22
38.70	21
48.35	19

abc: 11.173 11.173 5.372
angles: 90.00 90.00 99.06
Atoms (fractional coordinates):
Ca 0.000 0.000 0.000
Ca 0.080 0.662 0.963
Ca 0.239 0.239 0.956
Ca 0.338 0.920 0.963
Ca 0.402 0.598 0.907
Ca 0.598 0.402 0.907
Ca 0.662 0.080 0.963
Ca 0.761 0.761 0.956
Ca 0.920 0.338 0.963
Ga 0.016 0.203 0.484
Ga 0.134 0.465 0.437
Ga 0.203 0.016 0.484
Ga 0.262 0.738 0.468
Ga 0.388 0.388 0.392
Ga 0.465 0.134 0.437
Ga 0.535 0.866 0.437
Ga 0.612 0.612 0.392
Ga 0.738 0.262 0.468
Ga 0.797 0.984 0.484
Ga 0.866 0.535 0.437
Ga 0.984 0.797 0.484
O 0.000 0.500 0.237
O 0.024 0.203 0.149
O 0.067 0.346 0.660
O 0.103 0.103 0.659
O 0.154 0.846 0.595
O 0.203 0.024 0.149
O 0.204 0.595 0.637
O 0.245 0.415 0.226
O 0.271 0.729 0.131
O 0.346 0.067 0.660
O 0.394 0.394 0.731
O 0.405 0.796 0.637
O 0.415 0.245 0.226
O 0.500 0.000 0.237
O 0.500 0.500 0.221
O 0.585 0.755 0.226
O 0.595 0.204 0.637
O 0.606 0.606 0.731
O 0.654 0.933 0.660
O 0.729 0.271 0.131
O 0.755 0.585 0.226
O 0.796 0.405 0.637
O 0.797 0.976 0.149
O 0.846 0.154 0.595
O 0.897 0.897 0.659
O 0.933 0.654 0.660
O 0.976 0.797 0.149


(4)
Calculated X-ray powder pattern
Compound: Ca2GaRhO6
Radiation: Cu Kα X-rays
Structure: the GGA-PBE geometry in Alexandria
Kinematic intensities with the Lorentz-polarization factor, no thermal factor.

Most intense lines, 5° ≤ 2θ ≤ 70°, in order of falling intensity:
2θ/deg	I (rel.)
32.81	100
22.95	36
46.90	31
32.23	25
58.93	24
33.13	23
47.26	17
57.84	16
23.12	16
59.01	12

abc: 5.408 5.554 9.397
angles: 90.00 125.04 90.00
Atoms (fractional coordinates):
Ca 0.238 0.055 0.251
Ca 0.238 0.445 0.751
Ca 0.762 0.555 0.249
Ca 0.762 0.945 0.749
Ga 0.500 0.000 0.000
Ga 0.500 0.500 0.500
Rh 0.000 0.000 0.500
Rh 0.000 0.500 0.000
O 0.151 0.204 0.951
O 0.151 0.296 0.451
O 0.252 0.703 0.953
O 0.252 0.797 0.453
O 0.343 0.026 0.751
O 0.343 0.474 0.251
O 0.657 0.526 0.749
O 0.657 0.974 0.249
O 0.748 0.203 0.547
O 0.748 0.297 0.047
O 0.849 0.704 0.549
O 0.849 0.796 0.049